Entry 1:
Simulated powder diffractogram of Zr2Si3Pt5 for Cu Kα X-rays, from DFT lattice parameters and positions (PBE).
No peak broadening, texture or thermal motion is included.

Structural model:
a = 11.7672 Å, b = 11.7672 Å, c = 6.7210 Å
α = 90.00°, β = 90.00°, γ = 159.64°
Fractional positions:
Zr 0.0215 0.9785 0.5000
Zr 0.3254 0.6746 0.4729
Zr 0.6746 0.3254 0.9729
Zr 0.9785 0.0215 0.0000
Si 0.1040 0.8960 0.8174
Si 0.2766 0.7234 0.9106
Si 0.4498 0.5502 0.6901
Si 0.5502 0.4498 0.1901
Si 0.7234 0.2766 0.4106
Si 0.8960 0.1040 0.3174
Pt 0.1074 0.8926 0.1837
Pt 0.1940 0.8060 0.6363
Pt 0.2253 0.7747 0.2186
Pt 0.3805 0.6195 0.9716
Pt 0.4501 0.5499 0.3066
Pt 0.5499 0.4501 0.8066
Pt 0.6195 0.3805 0.4716
Pt 0.7747 0.2253 0.7186
Pt 0.8060 0.1940 0.1363
Pt 0.8926 0.1074 0.6837

The 10 most intense peaks (2θ = 10–90°), most intense first:
| Position (°2θ) | Rel. int. |
| --- | --- |
| 36.3 | 100 |
| 37.2 | 96 |
| 43.5 | 67 |
| 41.2 | 47 |
| 34.5 | 36 |
| 49.7 | 34 |
| 31.8 | 34 |
| 43.3 | 28 |
| 63.1 | 24 |
| 27.7 | 22 |


Entry 2:
Simulated powder diffractogram of BaTcHgO6 for Cu Kα X-rays, from DFT lattice parameters and positions (PBE).
No peak broadening, texture or thermal motion is included.

Structural model:
a = 5.3284 Å, b = 5.7731 Å, c = 5.7810 Å
α = 116.18°, β = 93.26°, γ = 92.68°
Fractional positions:
Ba 0.0000 0.0000 0.0000
Tc 0.4345 0.6407 0.3300
Hg 0.5485 0.3379 0.6932
O 0.2027 0.5224 0.0598
O 0.2684 0.8747 0.5684
O 0.3224 0.3347 0.3801
O 0.6456 0.3048 0.0176
O 0.6518 0.8407 0.2614
O 0.7113 0.6179 0.5587

The 10 most intense peaks (2θ = 10–90°), most intense first:
| Position (°2θ) | Rel. int. |
| --- | --- |
| 23.0 | 100 |
| 31.1 | 80 |
| 25.0 | 77 |
| 24.8 | 63 |
| 29.4 | 50 |
| 16.7 | 38 |
| 40.1 | 28 |
| 43.0 | 22 |
| 53.2 | 21 |
| 40.4 | 20 |


Entry 3:
Simulated powder diffractogram of Nd2Er3Tm6Sc for Cu Kα X-rays, from DFT lattice parameters and positions (PBE).
No peak broadening, texture or thermal motion is included.

Structural model:
a = 6.0645 Å, b = 6.0645 Å, c = 11.6307 Å
α = 94.98°, β = 94.98°, γ = 119.97°
Fractional positions:
Nd 0.1665 0.8335 0.0000
Nd 0.8335 0.1665 0.0000
Er 0.0000 0.0000 0.5000
Er 0.3337 0.6663 0.5000
Er 0.6663 0.3337 0.5000
Tm 0.0859 0.4163 0.7487
Tm 0.2532 0.2532 0.2517
Tm 0.4163 0.0859 0.7487
Tm 0.5837 0.9141 0.2513
Tm 0.7468 0.7468 0.7483
Tm 0.9141 0.5837 0.2513
Sc 0.5000 0.5000 0.0000

The 10 most intense peaks (2θ = 10–90°), most intense first:
| Position (°2θ) | Rel. int. |
| --- | --- |
| 31.3 | 100 |
| 36.3 | 51 |
| 62.1 | 39 |
| 52.2 | 36 |
| 88.2 | 11 |
| 85.4 | 9 |
| 85.5 | 9 |
| 65.2 | 6 |
| 65.3 | 6 |
| 77.0 | 6 |


Entry 4:
Simulated powder diffractogram of AgSnCl5 for Cu Kα X-rays, from DFT lattice parameters and positions (PBE).
No peak broadening, texture or thermal motion is included.

Structural model:
a = 7.7158 Å, b = 7.7158 Å, c = 9.8184 Å
α = 108.43°, β = 108.43°, γ = 51.51°
Fractional positions:
Ag 0.0542 0.9458 0.7500
Ag 0.9458 0.0542 0.2500
Sn 0.5000 0.5000 0.0000
Sn 0.5000 0.5000 0.5000
Cl 0.1095 0.6685 0.5130
Cl 0.1596 0.5437 0.8709
Cl 0.3315 0.8905 0.9870
Cl 0.3359 0.6641 0.2500
Cl 0.4563 0.8404 0.6291
Cl 0.5437 0.1596 0.3709
Cl 0.6641 0.3359 0.7500
Cl 0.6685 0.1095 0.0130
Cl 0.8404 0.4563 0.1291
Cl 0.8905 0.3315 0.4870

The 10 most intense peaks (2θ = 10–90°), most intense first:
| Position (°2θ) | Rel. int. |
| --- | --- |
| 13.6 | 100 |
| 26.3 | 50 |
| 22.4 | 44 |
| 30.0 | 30 |
| 38.6 | 28 |
| 35.7 | 23 |
| 39.2 | 16 |
| 46.8 | 15 |
| 47.8 | 13 |
| 27.4 | 12 |


Entry 5:
Simulated powder diffractogram of Li3Si2Pd3 for Cu Kα X-rays, from DFT lattice parameters and positions (PBE).
No peak broadening, texture or thermal motion is included.

Structural model:
a = 4.5724 Å, b = 4.7120 Å, c = 6.0310 Å
α = 104.35°, β = 103.66°, γ = 110.56°
Fractional positions:
Li 0.0000 0.0000 0.0000
Li 0.1183 0.6153 0.2372
Li 0.8817 0.3847 0.7628
Si 0.2654 0.2668 0.5336
Si 0.7346 0.7332 0.4664
Pd 0.3506 0.8492 0.6931
Pd 0.5000 0.5000 0.0000
Pd 0.6494 0.1508 0.3069

The 10 most intense peaks (2θ = 10–90°), most intense first:
| Position (°2θ) | Rel. int. |
| --- | --- |
| 22.2 | 100 |
| 22.4 | 92 |
| 40.6 | 88 |
| 32.1 | 72 |
| 31.7 | 64 |
| 40.9 | 59 |
| 42.2 | 54 |
| 47.7 | 38 |
| 28.5 | 35 |
| 47.5 | 29 |


Entry 6:
Simulated powder diffractogram of Li3B8C8 for Cu Kα X-rays, from DFT lattice parameters and positions (PBE).
No peak broadening, texture or thermal motion is included.

Structural model:
a = 6.7753 Å, b = 2.7249 Å, c = 9.0703 Å
α = 90.00°, β = 94.42°, γ = 90.00°
Fractional positions:
Li 0.0000 0.0000 0.0000
Li 0.0016 0.5000 0.7214
Li 0.9984 0.5000 0.2786
B 0.2503 0.0000 0.8516
B 0.2510 0.5000 0.1098
B 0.3420 0.5000 0.6143
B 0.3567 0.0000 0.3538
B 0.6433 0.0000 0.6462
B 0.6580 0.5000 0.3857
B 0.7490 0.5000 0.8902
B 0.7497 0.0000 0.1484
C 0.2360 0.5000 0.9368
C 0.2533 0.0000 0.1981
C 0.2884 0.0000 0.6844
C 0.4119 0.5000 0.4378
C 0.5881 0.5000 0.5622
C 0.7116 0.0000 0.3156
C 0.7467 0.0000 0.8019
C 0.7640 0.5000 0.0632

The 10 most intense peaks (2θ = 10–90°), most intense first:
| Position (°2θ) | Rel. int. |
| --- | --- |
| 26.4 | 100 |
| 17.0 | 92 |
| 13.1 | 80 |
| 15.8 | 69 |
| 38.6 | 30 |
| 27.5 | 25 |
| 46.4 | 23 |
| 43.2 | 17 |
| 28.9 | 15 |
| 68.9 | 13 |


Entry 7:
Simulated powder diffractogram of La2CdBi5 for Cu Kα X-rays, from DFT lattice parameters and positions (PBE).
No peak broadening, texture or thermal motion is included.

Structural model:
a = 6.9635 Å, b = 6.9635 Å, c = 5.0883 Å
α = 90.00°, β = 90.00°, γ = 95.16°
Fractional positions:
La 0.2298 0.7702 0.0000
La 0.7702 0.2298 0.0000
Cd 0.5000 0.5000 0.5000
Bi 0.0000 0.0000 0.5000
Bi 0.0000 0.5000 0.5000
Bi 0.2737 0.2737 0.0000
Bi 0.5000 0.0000 0.5000
Bi 0.7263 0.7263 0.0000

The 10 most intense peaks (2θ = 10–90°), most intense first:
| Position (°2θ) | Rel. int. |
| --- | --- |
| 31.2 | 100 |
| 35.3 | 19 |
| 34.9 | 18 |
| 60.8 | 15 |
| 60.3 | 14 |
| 38.3 | 14 |
| 50.5 | 13 |
| 65.1 | 11 |
| 53.1 | 11 |
| 52.8 | 10 |


Entry 8:
Simulated powder diffractogram of RbAgTeBr6 for Cu Kα X-rays, from DFT lattice parameters and positions (PBE).
No peak broadening, texture or thermal motion is included.

Structural model:
a = 7.3627 Å, b = 7.4322 Å, c = 7.5214 Å
α = 89.83°, β = 88.91°, γ = 60.73°
Fractional positions:
Rb 0.0000 0.0000 0.0000
Ag 0.3340 0.3279 0.5001
Te 0.6674 0.6623 0.4999
Br 0.3810 0.9746 0.2952
Br 0.3829 0.6257 0.7184
Br 0.6312 0.3760 0.2903
Br 0.6418 0.9741 0.7095
Br 0.9845 0.6293 0.2812
Br 0.9863 0.3759 0.7051

The 10 most intense peaks (2θ = 10–90°), most intense first:
| Position (°2θ) | Rel. int. |
| --- | --- |
| 11.8 | 100 |
| 26.8 | 100 |
| 34.4 | 56 |
| 33.9 | 55 |
| 33.5 | 55 |
| 18.3 | 52 |
| 18.1 | 51 |
| 18.0 | 51 |
| 26.5 | 49 |
| 27.2 | 45 |


Entry 9:
Simulated powder diffractogram of Dy2AlF8 for Cu Kα X-rays, from DFT lattice parameters and positions (PBE).
No peak broadening, texture or thermal motion is included.

Structural model:
a = 5.8498 Å, b = 5.8498 Å, c = 4.6105 Å
α = 105.04°, β = 105.04°, γ = 75.68°
Fractional positions:
Dy 0.1701 0.1701 0.3702
Dy 0.8299 0.8299 0.6298
Al 0.5000 0.5000 0.0000
F 0.0882 0.0882 0.8240
F 0.1902 0.5443 0.7457
F 0.3798 0.3798 0.2302
F 0.4557 0.8098 0.2543
F 0.5443 0.1902 0.7457
F 0.6202 0.6202 0.7698
F 0.8098 0.4557 0.2543
F 0.9118 0.9118 0.1760

The 10 most intense peaks (2θ = 10–90°), most intense first:
| Position (°2θ) | Rel. int. |
| --- | --- |
| 23.7 | 100 |
| 24.8 | 100 |
| 28.6 | 90 |
| 33.2 | 57 |
| 20.4 | 50 |
| 16.0 | 42 |
| 49.3 | 42 |
| 46.1 | 40 |
| 41.3 | 31 |
| 34.5 | 31 |


Entry 10:
Simulated powder diffractogram of LaPrPd6 for Cu Kα X-rays, from DFT lattice parameters and positions (PBE).
No peak broadening, texture or thermal motion is included.

Structural model:
a = 4.2288 Å, b = 4.2288 Å, c = 8.4503 Å
α = 90.00°, β = 90.00°, γ = 90.00°
Fractional positions:
La 0.0000 0.0000 0.0000
Pr 0.0000 0.0000 0.5000
Pd 0.0000 0.5000 0.2498
Pd 0.0000 0.5000 0.7502
Pd 0.5000 0.0000 0.2498
Pd 0.5000 0.0000 0.7502
Pd 0.5000 0.5000 0.0000
Pd 0.5000 0.5000 0.5000

The 8 most intense peaks (2θ = 10–90°), most intense first:
| Position (°2θ) | Rel. int. |
| --- | --- |
| 36.8 | 100 |
| 42.8 | 49 |
| 74.4 | 37 |
| 62.1 | 32 |
| 78.4 | 11 |
| 21.0 | 1 |
| 29.9 | 1 |
| 48.1 | 1 |